[1]
The following is a simulated PXRD pattern of Sm4OsRu. It was derived from a crystal structure in Alexandria, relaxed with GGA-PBE, using Cu Kα, 1.54184 Å.

Structural model:
```
data_Sm4OsRu
_symmetry_space_group_name_H-M 'C 1 2/c 1'
_symmetry_Int_Tables_number 15
_symmetry_space_group_name_Hall '-C 2yc'
_cell_length_a 9.096
_cell_length_b 13.214
_cell_length_c 6.346
_cell_angle_alpha 90.00
_cell_angle_beta 123.62
_cell_angle_gamma 90.00
loop_
_atom_site_label
_atom_site_type_symbol
_atom_site_fract_x
_atom_site_fract_y
_atom_site_fract_z
_atom_site_occupancy
Sm1 Sm 0.129 0.175 0.096 1
Sm2 Sm 0.193 0.436 0.262 1
Os1 Os 0.000 0.001 0.750 1
Ru1 Ru 0.000 0.365 0.750 1
```

Most intense lines, 2θ = 5–70°, in order of rising 2θ:
| hkl | 2θ/deg | I_rel |
| --- | --- | --- |
| 0 2 0 | 13.4 | 100 |
| 3 1 -1 | 30.4 | 87 |
| 0 4 1 | 32.0 | 92 |
| 1 3 -2 | 35.6 | 71 |
| 1 5 0 | 36.0 | 74 |
| 3 3 0 | 41.2 | 67 |

[2]
The following is a simulated PXRD pattern of CaCl2. It was derived from a crystal structure in Alexandria, relaxed with GGA-PBE, using Cu Kα, 1.54184 Å.

Structural model:
```
data_CaCl2
_symmetry_space_group_name_H-M 'C m c 21'
_symmetry_Int_Tables_number 36
_symmetry_space_group_name_Hall 'C 2c -2'
_cell_length_a 3.825
_cell_length_b 12.103
_cell_length_c 6.645
_cell_angle_alpha 90.00
_cell_angle_beta 90.00
_cell_angle_gamma 90.00
loop_
_atom_site_label
_atom_site_type_symbol
_atom_site_fract_x
_atom_site_fract_y
_atom_site_fract_z
_atom_site_occupancy
Ca1 Ca 0.000 0.118 0.000 1
Cl1 Cl 0.000 0.231 0.403 1
Cl2 Cl 0.000 0.498 0.223 1
```

Most intense lines, 2θ = 5–70°, in order of rising 2θ:
| hkl | 2θ/deg | I_rel |
| --- | --- | --- |
| 0 2 1 | 19.8 | 69 |
| 0 2 2 | 30.7 | 68 |
| 1 3 0 | 32.3 | 85 |
| 1 3 1 | 35.0 | 100 |
| 1 1 2 | 36.6 | 100 |
| 0 4 2 | 40.3 | 35 |

[3]
The following is a simulated PXRD pattern of Nd6As2S3. It was derived from a crystal structure in Alexandria, relaxed with GGA-PBE, using Cu Kα, 1.54184 Å.

Structural model:
```
data_Nd6As2S3
_symmetry_space_group_name_H-M 'P -3 1 m'
_symmetry_Int_Tables_number 162
_symmetry_space_group_name_Hall '-P 3 2'
_cell_length_a 7.0046
_cell_length_b 7.0046
_cell_length_c 6.9927
_cell_angle_alpha 90.00
_cell_angle_beta 90.00
_cell_angle_gamma 120.00
loop_
_atom_site_label
_atom_site_type_symbol
_atom_site_fract_x
_atom_site_fract_y
_atom_site_fract_z
_atom_site_occupancy
Nd1 Nd 0.0000 0.3312 0.2512 1
As1 As 0.3333 0.6667 0.0000 1
S1 S 0.0000 0.0000 0.0000 1
S2 S 0.3333 0.6667 0.5000 1
```

Most intense lines, 2θ = 5–70°, in order of rising 2θ:
| hkl | 2θ/deg | I_rel |
| --- | --- | --- |
| 0 0 2 | 25.5 | 17 |
| 2 -1 1 | 28.5 | 100 |
| 1 1 2 | 36.3 | 43 |
| 3 0 0 | 44.8 | 31 |
| 1 1 3 | 46.8 | 26 |
| 0 0 4 | 52.3 | 20 |

[4]
The following is a simulated PXRD pattern of U2Pd3Pt8. It was derived from a crystal structure in Alexandria, relaxed with GGA-PBE, using Cu Kα, 1.54184 Å.

Structural model:
```
data_U2Pd3Pt8
_symmetry_space_group_name_H-M 'C 1 2/m 1'
_symmetry_Int_Tables_number 12
_symmetry_space_group_name_Hall '-C 2y'
_cell_length_a 14.310
_cell_length_b 8.583
_cell_length_c 3.909
_cell_angle_alpha 90.00
_cell_angle_beta 97.04
_cell_angle_gamma 90.00
loop_
_atom_site_label
_atom_site_type_symbol
_atom_site_fract_x
_atom_site_fract_y
_atom_site_fract_z
_atom_site_occupancy
U1 U 0.211 0.000 0.307 1
Pd1 Pd 0.000 0.269 0.000 1
Pd2 Pd 0.000 0.500 0.500 1
Pt1 Pt 0.076 0.000 0.792 1
Pt2 Pt 0.142 0.269 0.539 1
Pt3 Pt 0.149 0.500 0.075 1
```

Most intense lines, 2θ = 5–70°, in order of rising 2θ:
| hkl | 2θ/deg | I_rel |
| --- | --- | --- |
| 3 1 1 | 33.3 | 40 |
| 4 2 -1 | 38.4 | 100 |
| 0 4 0 | 42.1 | 41 |
| 3 3 1 | 45.0 | 33 |
| 7 1 0 | 46.0 | 24 |
| 1 1 -2 | 47.7 | 20 |